No. 1
Diffraction record for DyHo3Pb5. The XRD peak list is computed, not measured: it uses a DFT-relaxed cell (GGA-PBE, Alexandria) and Cu Kα (weighted mean of Kα1 and Kα2).

Most intense lines, 2θ = 10–90°, low angle first:
2theta, d/Å, Rel. int., h k l
31.8, 2.813, 361, 2 1 1
32.6, 2.749, 916, 3 0 0
33.3, 2.693, 1000, 1 1 2
41.8, 2.159, 136, 3 1 1
47.3, 1.924, 301, 2 2 2
58.6, 1.576, 302, 4 1 2
61.1, 1.516, 119, 4 2 1
64.5, 1.445, 105, 5 1 1
66.6, 1.404, 241, 3 0 4
78.0, 1.224, 132, 5 2 2

Atomic structure:
abc: 9.5226 9.5226 6.5303
angles: 90.00 90.00 120.00
Space group P6_3/mcm (No. 193)
Asymmetric unit:
Dy 0.0000 0.0000 0.0000 (multiplicity 2)
Ho 0.0000 0.3806 0.2500 (multiplicity 6)
Pb 0.0000 0.2892 0.7500 (multiplicity 6)
Pb 0.3333 0.6667 0.0000 (multiplicity 4)

No. 2
Diffraction record for Mn3Re. The XRD peak list is computed, not measured: it uses a DFT-relaxed cell (GGA-PBE, Alexandria) and Cu Kα (weighted mean of Kα1 and Kα2).

Most intense lines, 2θ = 10–90°, low angle first:
2theta, d/Å, Rel. int., h k l
15.8, 5.625, 372, 0 0 1
30.3, 2.951, 189, 1 0 0
31.8, 2.812, 85, 0 0 2
34.3, 2.613, 314, 1 0 1
43.4, 2.087, 544, 1 1 0
44.5, 2.036, 1000, 1 0 2
46.4, 1.956, 108, 1 1 1
63.0, 1.476, 172, 2 0 0
80.4, 1.195, 333, 2 1 2
82.8, 1.166, 151, 1 1 4

Atomic structure:
abc: 2.9512 2.9512 5.6245
angles: 90.00 90.00 90.00
Space group P4/mmm (No. 123)
Asymmetric unit:
Mn 0.0000 0.0000 0.0000 (multiplicity 1)
Mn 0.5000 0.5000 0.2377 (multiplicity 2)
Re 0.0000 0.0000 0.5000 (multiplicity 1)

No. 3
Diffraction record for CaTb3Pm5. The XRD peak list is computed, not measured: it uses a DFT-relaxed cell (GGA-PBE, Alexandria) and Cu Kα (weighted mean of Kα1 and Kα2).

Most intense lines, 2θ = 10–90°, low angle first:
2theta, d/Å, Rel. int., h k l
28.8, 3.098, 480, 0 1 3
30.0, 2.982, 1000, 2 3 1
30.4, 2.942, 578, 0 6 0
32.3, 2.773, 860, 2 2 2
36.9, 2.436, 295, 2 4 2
38.3, 2.349, 275, 0 5 3
51.9, 1.761, 196, 2 8 2
56.9, 1.619, 315, 2 3 5
57.8, 1.594, 167, 4 1 3
58.7, 1.572, 238, 4 6 0

Atomic structure:
abc: 7.4366 17.6533 9.4396
angles: 90.00 90.00 90.00
Space group Imma (No. 74)
Asymmetric unit:
Ca 0.0000 0.2500 0.0943 (multiplicity 4)
Tb 0.0000 0.0687 0.7545 (multiplicity 8)
Tb 0.2500 0.2500 0.7500 (multiplicity 4)
Pm 0.0000 0.2500 0.4627 (multiplicity 4)
Pm 0.2408 0.0861 0.4274 (multiplicity 16)

No. 4
Diffraction record for Mn2V2Ga. The XRD peak list is computed, not measured: it uses a DFT-relaxed cell (GGA-PBE, Alexandria) and Cu Kα (weighted mean of Kα1 and Kα2).

Most intense lines, 2θ = 10–90°, low angle first:
2theta, d/Å, Rel. int., h k l
11.5, 7.672, 18, 0 0 2
43.3, 2.090, 1000, 1 1 5
44.4, 2.039, 240, 0 2 0
45.4, 1.999, 225, 2 0 0
60.3, 1.534, 76, 0 0 10
65.4, 1.427, 138, 2 2 0
77.9, 1.226, 68, 0 2 10
78.6, 1.217, 67, 2 0 10
81.0, 1.187, 137, 1 3 5
82.3, 1.171, 132, 3 1 5

Atomic structure:
abc: 3.9988 4.0773 15.3446
angles: 90.00 90.00 90.00
Space group Amm2 (No. 38)
Asymmetric unit:
Mn 0.0000 0.0000 0.0000 (multiplicity 2)
Mn 0.0000 0.0000 0.1880 (multiplicity 2)
Mn 0.0000 0.0000 0.5837 (multiplicity 2)
Mn 0.5000 0.0000 0.5012 (multiplicity 2)
V 0.0000 0.0000 0.7897 (multiplicity 2)
V 0.5000 0.0000 0.0858 (multiplicity 2)
V 0.5000 0.0000 0.2888 (multiplicity 2)
V 0.5000 0.0000 0.8958 (multiplicity 2)
Ga 0.0000 0.0000 0.3992 (multiplicity 2)
Ga 0.5000 0.0000 0.6859 (multiplicity 2)

No. 5
Diffraction record for Pm4CuPb2. The XRD peak list is computed, not measured: it uses a DFT-relaxed cell (GGA-PBE, Alexandria) and Cu Kα (weighted mean of Kα1 and Kα2).

Most intense lines, 2θ = 10–90°, low angle first:
2theta, d/Å, Rel. int., h k l
26.2, 3.406, 322, 0 2 0
29.7, 3.005, 1000, 2 0 1
30.6, 2.920, 468, 1 0 -3
31.7, 2.820, 752, 1 2 1
32.6, 2.749, 321, 2 1 1
33.0, 2.717, 556, 0 2 2
33.4, 2.686, 585, 2 1 -2
34.4, 2.606, 253, 1 2 -2
52.2, 1.752, 262, 1 2 4
62.7, 1.481, 347, 2 4 1

Atomic structure:
abc: 6.8159 6.8110 9.1284
angles: 90.00 98.96 90.00
Space group P2_1/m (No. 11)
Asymmetric unit:
Pm 0.1564 0.0045 0.2819 (multiplicity 4)
Pm 0.3325 0.2500 0.9465 (multiplicity 2)
Pm 0.3401 0.7500 0.6608 (multiplicity 2)
Cu 0.0330 0.2500 0.5361 (multiplicity 2)
Pb 0.1714 0.7500 0.9690 (multiplicity 2)
Pb 0.4171 0.2500 0.6164 (multiplicity 2)

No. 6
Diffraction record for Pr3As5Pd6. The XRD peak list is computed, not measured: it uses a DFT-relaxed cell (GGA-PBE, Alexandria) and Cu Kα (weighted mean of Kα1 and Kα2).

Most intense lines, 2θ = 10–90°, low angle first:
2theta, d/Å, Rel. int., h k l
33.7, 2.656, 271, 0 3 3
34.0, 2.637, 294, 1 0 3
34.7, 2.588, 1000, 1 3 2
42.0, 2.150, 327, 0 6 0
42.9, 2.109, 310, 2 0 0
55.1, 1.666, 104, 1 6 3
55.7, 1.652, 128, 2 3 3
61.6, 1.505, 151, 2 6 0
63.1, 1.473, 143, 1 3 6
73.3, 1.292, 113, 3 3 2

Atomic structure:
abc: 4.2173 12.9008 10.1344
angles: 90.00 90.00 90.00
Space group Pmmn (No. 59, origin choice 2)
Asymmetric unit:
Pr 0.2500 0.0848 0.2470 (multiplicity 4)
Pr 0.2500 0.7500 0.2535 (multiplicity 2)
As 0.2500 0.0843 0.8528 (multiplicity 4)
As 0.2500 0.6252 0.5235 (multiplicity 4)
As 0.2500 0.7500 0.8544 (multiplicity 2)
Pd 0.2500 0.0631 0.6064 (multiplicity 4)
Pd 0.2500 0.2500 0.4762 (multiplicity 2)
Pd 0.2500 0.2500 0.9979 (multiplicity 2)
Pd 0.2500 0.5814 0.0008 (multiplicity 4)

No. 7
Diffraction record for DyHoTmIn. The XRD peak list is computed, not measured: it uses a DFT-relaxed cell (GGA-PBE, Alexandria) and Cu Kα (weighted mean of Kα1 and Kα2).

Most intense lines, 2θ = 10–90°, low angle first:
2theta, d/Å, Rel. int., h k l
18.4, 4.816, 17, 0 1 0
26.2, 3.404, 15, 1 0 1
32.2, 2.780, 1000, 1 1 1
37.4, 2.407, 503, 2 0 0
53.9, 1.702, 350, 2 2 0
64.1, 1.452, 412, 3 1 1
67.4, 1.390, 119, 2 2 2
79.6, 1.204, 37, 0 4 0
79.7, 1.202, 19, 4 0 0
88.5, 1.105, 178, 3 3 1

Atomic structure:
abc: 4.8099 4.8172 4.8177
angles: 90.00 90.00 90.00
Space group Pmmm (No. 47)
Asymmetric unit:
Dy 0.0000 0.0000 0.0000 (multiplicity 1)
Ho 0.0000 0.5000 0.5000 (multiplicity 1)
Tm 0.5000 0.5000 0.0000 (multiplicity 1)
In 0.5000 0.0000 0.5000 (multiplicity 1)

No. 8
Diffraction record for Ce2ThPb9. The XRD peak list is computed, not measured: it uses a DFT-relaxed cell (GGA-PBE, Alexandria) and Cu Kα (weighted mean of Kα1 and Kα2).

Most intense lines, 2θ = 10–90°, low angle first:
2theta, d/Å, Rel. int., h k l
18.1, 4.908, 6, 1 0 0
25.7, 3.470, 5, 1 1 0
31.6, 2.833, 1000, 1 1 3
36.6, 2.454, 509, 2 0 0
52.8, 1.735, 364, 2 2 0
62.8, 1.480, 436, 3 1 3
65.9, 1.417, 126, 2 2 6
77.9, 1.227, 60, 4 0 0
86.4, 1.126, 191, 3 3 3
89.3, 1.097, 181, 4 2 0

Atomic structure:
abc: 4.9067 4.9067 14.7274
angles: 90.00 90.00 90.00
Space group P4/mmm (No. 123)
Asymmetric unit:
Ce 0.0000 0.0000 0.1670 (multiplicity 2)
Th 0.0000 0.0000 0.5000 (multiplicity 1)
Pb 0.0000 0.5000 0.0000 (multiplicity 2)
Pb 0.0000 0.5000 0.3325 (multiplicity 4)
Pb 0.5000 0.5000 0.1661 (multiplicity 2)
Pb 0.5000 0.5000 0.5000 (multiplicity 1)

No. 9
Diffraction record for ErP3Pd5. The XRD peak list is computed, not measured: it uses a DFT-relaxed cell (GGA-PBE, Alexandria) and Cu Kα (weighted mean of Kα1 and Kα2).

Most intense lines, 2θ = 10–90°, low angle first:
2theta, d/Å, Rel. int., h k l
26.4, 3.377, 237, 0 2 3
30.5, 2.929, 524, 0 4 2
31.4, 2.845, 1000, 1 3 1
33.4, 2.686, 470, 1 1 3
34.2, 2.621, 181, 1 3 2
39.2, 2.296, 741, 1 1 4
40.0, 2.257, 182, 0 6 0
40.8, 2.210, 188, 0 2 5
43.7, 2.073, 259, 1 5 2
47.1, 1.929, 462, 2 0 0

Atomic structure:
abc: 3.8587 13.5396 11.6887
angles: 90.00 90.00 90.00
Space group Cmcm (No. 63)
Asymmetric unit:
Er 0.0000 0.1033 0.2500 (multiplicity 4)
P 0.0000 0.1468 0.7500 (multiplicity 4)
P 0.0000 0.4117 0.5767 (multiplicity 8)
Pd 0.0000 0.0000 0.0000 (multiplicity 4)
Pd 0.0000 0.2429 0.5862 (multiplicity 8)
Pd 0.0000 0.4045 0.1341 (multiplicity 8)

No. 10
Diffraction record for LaTcH6. The XRD peak list is computed, not measured: it uses a DFT-relaxed cell (GGA-PBE, Alexandria) and Cu Kα (weighted mean of Kα1 and Kα2).

Most intense lines, 2θ = 10–90°, low angle first:
2theta, d/Å, Rel. int., h k l
22.4, 3.971, 122, 1 1 0
26.1, 3.410, 1000, 1 1 1
27.1, 3.295, 522, 2 0 -2
34.1, 2.630, 285, 2 0 2
36.9, 2.437, 400, 3 1 -1
39.0, 2.307, 348, 1 1 -3
42.1, 2.146, 160, 4 0 0
45.9, 1.975, 186, 0 0 4
53.7, 1.705, 121, 2 2 2
64.1, 1.453, 125, 6 0 -2

Atomic structure:
abc: 8.8044 4.4794 8.1062
angles: 90.00 102.87 90.00
Space group C2/c (No. 15)
Asymmetric unit:
La 0.0000 0.1728 0.2500 (multiplicity 4)
Tc 0.2500 0.2500 0.0000 (multiplicity 4)
H 0.0568 0.3356 0.8924 (multiplicity 8)
H 0.1419 0.0625 0.5404 (multiplicity 8)
H 0.2274 0.4436 0.1840 (multiplicity 8)

No. 11
Diffraction record for Tm6Mg3Fe. The XRD peak list is computed, not measured: it uses a DFT-relaxed cell (GGA-PBE, Alexandria) and Cu Kα (weighted mean of Kα1 and Kα2).

Most intense lines, 2θ = 10–90°, low angle first:
2theta, d/Å, Rel. int., h k l
23.7, 3.758, 185, 0 2 1
23.9, 3.729, 170, 1 1 -2
30.3, 2.948, 183, 1 1 -3
30.8, 2.902, 211, 1 -1 3
31.4, 2.847, 254, 0 1 3
32.6, 2.743, 1000, 2 0 0
32.8, 2.728, 361, 1 -3 0
34.2, 2.623, 431, 1 3 0
34.9, 2.572, 269, -1 1 3
36.2, 2.482, 183, 1 1 3

Atomic structure:
abc: 5.4886 9.6456 10.3928
angles: 107.48 91.14 92.18
Space group P-1 (No. 2)
Asymmetric unit:
Tm 0.1773 0.1436 0.4709 (multiplicity 2)
Tm 0.2292 0.1074 0.8169 (multiplicity 2)
Tm 0.2514 0.0973 0.1355 (multiplicity 2)
Tm 0.2559 0.4376 0.0717 (multiplicity 2)
Tm 0.2798 0.7307 0.6636 (multiplicity 2)
Tm 0.2977 0.7838 0.3272 (multiplicity 2)
Mg 0.2316 0.4317 0.7487 (multiplicity 2)
Mg 0.2377 0.4593 0.3917 (multiplicity 2)
Mg 0.2547 0.7536 0.9864 (multiplicity 2)
Fe 0.3653 0.9587 0.5822 (multiplicity 2)

No. 12
Diffraction record for LaPm2PrSm5. The XRD peak list is computed, not measured: it uses a DFT-relaxed cell (GGA-PBE, Alexandria) and Cu Kα (weighted mean of Kα1 and Kα2).

Most intense lines, 2θ = 10–90°, low angle first:
2theta, d/Å, Rel. int., h k l
28.1, 3.179, 565, 2 1 3
28.4, 3.140, 483, 2 2 0
30.2, 2.962, 1000, 2 0 4
31.9, 2.808, 159, 3 1 0
33.8, 2.649, 155, 0 0 6
36.2, 2.483, 156, 2 1 5
36.9, 2.434, 182, 3 2 1
42.3, 2.136, 220, 4 0 2
45.6, 1.988, 153, 0 0 8
51.4, 1.777, 190, 4 2 4

Atomic structure:
abc: 8.8811 8.8811 15.9067
angles: 90.00 90.00 90.00
Space group I4/mcm (No. 140)
Asymmetric unit:
La 0.0000 0.0000 0.2500 (multiplicity 4)
Pm 0.1183 0.3817 0.0000 (multiplicity 8)
Pr 0.0000 0.5000 0.2500 (multiplicity 4)
Sm 0.0000 0.0000 0.0000 (multiplicity 4)
Sm 0.2048 0.2952 0.3645 (multiplicity 16)